1.
Hf4FeAuC2: calculated XRD peak list (Cu Kα), based on a crystal structure in OQMD, relaxed with PBE.
Neutral-atom scattering factors, no anomalous dispersion.

Top 12 peaks for 10 to 90 degrees two-theta, by angle:
index  2theta  I (rel.)
1 0 0  31.82  27
0 0 5  32.47  10
1 0 2  34.44  9
1 0 3  37.49  100
0 0 6  39.19  15
1 0 5  46.09  6
1 0 6  51.33  12
1 1 0  56.69  23
1 0 8  63.27  10
1 1 5  66.87  5
2 0 3  69.94  25
1 1 6  71.08  16

Atomic structure:
```
Hf4FeAuC2
1.0
3.247 0.000 0.000
-1.624 2.812 0.000
0.000 0.000 13.793
Hf Fe Au C
4 1 1 2
Cartesian
0.000 0.000 1.958
0.000 0.000 11.835
0.000 1.875 4.586
0.000 1.875 9.207
0.000 1.875 0.000
0.000 0.000 6.897
1.624 0.937 3.342
1.624 0.937 10.451
```

2.
Sc4FeAuC2: calculated XRD peak list (Cu Kα), based on a crystal structure in OQMD, relaxed with PBE.
Neutral-atom scattering factors, no anomalous dispersion.

Top 12 peaks for 10 to 90 degrees two-theta, by angle:
index  2theta  I (rel.)
0 0 2  13.04  31
1 0 0  31.07  29
1 0 1  31.78  24
1 0 2  33.82  27
1 0 3  37.01  100
0 0 6  39.82  15
1 0 5  45.94  16
1 0 6  51.35  17
1 1 0  55.28  21
2 0 3  68.40  15
1 1 6  70.27  16
1 0 9  70.45  12

Atomic structure:
```
Sc4FeAuC2
1.0
3.324 0.000 0.000
-1.662 2.878 0.000
0.000 0.000 13.582
Sc Fe Au C
4 1 1 2
Cartesian
0.000 0.000 2.059
0.000 0.000 11.523
0.000 1.919 4.527
0.000 1.919 9.055
0.000 1.919 0.000
0.000 0.000 6.791
1.662 0.959 3.363
1.662 0.959 10.219
```

3.
GaMo4AuC2: calculated XRD peak list (Cu Kα), based on a crystal structure in OQMD, relaxed with PBE.
Neutral-atom scattering factors, no anomalous dispersion.

Top 12 peaks for 10 to 90 degrees two-theta, by angle:
index  2theta  I (rel.)
0 0 3  19.86  4
1 0 0  33.44  29
1 0 2  36.10  9
1 0 3  39.20  100
0 0 6  40.36  18
1 0 6  53.38  15
1 1 0  59.78  20
2 0 0  70.25  5
1 0 9  72.60  15
2 0 3  73.84  15
1 1 6  74.61  18
2 0 6  84.27  4

Atomic structure:
```
GaMo4AuC2
1.0
3.094 0.000 0.000
-1.547 2.680 0.000
0.000 0.000 13.410
Ga Mo Au C
1 4 1 2
Cartesian
0.000 0.000 0.000
0.000 0.000 4.383
0.000 0.000 9.027
1.547 0.893 2.119
1.547 0.893 11.291
1.547 0.893 6.705
0.000 1.786 3.282
0.000 1.786 10.128
```

4.
Y4GaAuC2: calculated XRD peak list (Cu Kα), based on a crystal structure in OQMD, relaxed with PBE.
Neutral-atom scattering factors, no anomalous dispersion.

Top 12 peaks for 10 to 90 degrees two-theta, by angle:
index  2theta  I (rel.)
0 0 2  12.06  5
1 0 0  28.28  26
1 0 2  30.84  7
1 0 3  33.80  100
0 0 6  36.73  15
1 0 6  46.99  16
1 1 0  50.06  23
2 0 3  61.77  17
1 1 6  63.68  18
1 0 9  64.28  14
2 1 3  83.40  15
2 0 9  85.65  7

Atomic structure:
```
Y4GaAuC2
1.0
3.644 0.000 0.000
-1.822 3.156 0.000
0.000 0.000 14.680
Y Ga Au C
4 1 1 2
Cartesian
0.000 0.000 2.279
0.000 0.000 12.401
0.000 2.104 4.986
0.000 2.104 9.694
0.000 0.000 7.340
0.000 2.104 0.000
1.822 1.052 3.548
1.822 1.052 11.132
```

5.
KH2AuC4N4O: calculated XRD peak list (Cu Kα), based on a crystal structure in OQMD, relaxed with PBE.
Neutral-atom scattering factors, no anomalous dispersion.

Top 12 peaks for 10 to 90 degrees two-theta, by angle:
index  2theta  I (rel.)
0 0 2  10.22  80
1 1 0  18.58  39
1 1 1  19.28  21
0 0 4  20.53  26
1 1 2  21.25  100
1 1 3  24.20  19
0 2 1  26.03  22
1 1 4  27.82  25
2 0 4  34.37  19
1 1 6  36.39  27
1 3 3  44.16  19
3 1 2  44.79  18

Atomic structure:
```
KH2AuC4N4O
1.0
6.541 0.000 0.000
0.000 6.986 0.000
0.000 0.000 17.306
K H Au C N O
4 8 4 16 16 4
Cartesian
1.557 0.270 0.304
1.713 6.715 8.957
4.828 3.222 17.002
4.984 3.763 8.349
1.225 2.158 7.460
1.488 2.914 8.796
1.782 4.071 0.143
2.045 4.828 16.113
4.496 1.335 9.847
4.759 0.579 8.510
5.053 6.407 17.163
5.316 5.651 1.193
1.575 2.992 12.789
1.695 3.994 4.136
4.846 0.501 4.517
4.966 6.484 13.170
0.000 3.487 5.075
0.000 6.980 3.578
0.107 5.956 14.129
0.859 2.324 14.538
0.961 3.287 2.412
2.309 3.698 11.065
2.412 4.662 5.885
3.163 1.029 5.476
3.271 0.006 12.231
3.271 3.499 13.728
3.378 4.522 3.177
4.129 1.169 2.768
4.232 0.206 14.894
5.580 6.780 6.241
5.683 5.817 11.421
6.434 2.464 11.830
0.466 1.955 15.574
0.553 2.892 1.390
0.981 6.673 3.021
1.048 5.604 14.723
2.223 1.381 6.070
2.290 0.312 11.674
2.717 4.093 10.043
2.804 5.031 6.921
3.737 1.538 1.732
3.824 0.600 15.916
4.251 3.805 14.286
4.319 4.874 2.583
5.493 2.112 11.236
5.561 3.181 5.632
5.988 6.385 7.263
6.075 5.448 10.386
0.818 2.371 8.335
2.452 4.615 16.988
4.089 1.122 8.972
5.723 5.864 0.319
```